(1)
The following is a calculated X-ray powder pattern of Er5Te. It was derived from a DFT-relaxed cell (GGA-PBE, Alexandria), using Cu Kα X-rays.
Intensities are scaled so that the largest is 100.

Main lines, sorted by position (10 to 80 degrees two-theta):
| 2theta | I_rel |
| --- | --- |
| 31.99 | 100 |
| 35.96 | 18 |
| 36.95 | 17 |
| 38.39 | 15 |
| 52.51 | 12 |
| 53.61 | 12 |
| 54.34 | 11 |
| 62.16 | 15 |
| 63.48 | 14 |
| 65.44 | 13 |
| 66.89 | 12 |
| 76.24 | 2 |

Cell lengths 4.689, 14.987, 4.866 Å; angles 90.00, 90.00, 90.00 degrees
Sites, in units of the cell vectors:
1 Er 0.000 0.000 0.000
2 Er 0.000 0.164 0.500
3 Er 0.000 0.330 0.000
4 Er 0.000 0.670 0.000
5 Er 0.000 0.836 0.500
6 Er 0.500 0.170 0.000
7 Er 0.500 0.336 0.500
8 Er 0.500 0.500 0.000
9 Er 0.500 0.664 0.500
10 Er 0.500 0.830 0.000
11 Te 0.000 0.500 0.500
12 Te 0.500 0.000 0.500

---

(2)
The following is a calculated X-ray powder pattern of Er5Te8. It was derived from a DFT-relaxed cell (GGA-PBE, Alexandria), using Cu Kα X-rays.
Intensities are scaled so that the largest is 100.

Main lines, sorted by position (10 to 80 degrees two-theta):
| 2theta | I_rel |
| --- | --- |
| 12.28 | 42 |
| 26.78 | 56 |
| 27.04 | 100 |
| 34.33 | 27 |
| 34.47 | 45 |
| 34.78 | 48 |
| 34.96 | 25 |
| 42.02 | 81 |
| 44.69 | 24 |
| 50.49 | 17 |
| 50.65 | 16 |
| 67.83 | 19 |

Cell lengths 8.398, 8.398, 10.271 Å; angles 126.29, 126.29, 61.66 degrees
Sites, in units of the cell vectors:
1 Er 0.000 0.000 0.000
2 Er 0.261 0.739 0.500
3 Er 0.267 0.267 0.009
4 Er 0.733 0.733 0.991
5 Er 0.739 0.261 0.500
6 Te 0.028 0.028 0.324
7 Te 0.033 0.547 0.829
8 Te 0.453 0.453 0.664
9 Te 0.453 0.967 0.171
10 Te 0.547 0.033 0.829
11 Te 0.547 0.547 0.336
12 Te 0.967 0.453 0.171
13 Te 0.972 0.972 0.676

---

(3)
The following is a calculated X-ray powder pattern of Er6Te5. It was derived from a DFT-relaxed cell (GGA-PBE, Alexandria), using Cu Kα X-rays.
Intensities are scaled so that the largest is 100.

Main lines, sorted by position (10 to 80 degrees two-theta):
| 2theta | I_rel |
| --- | --- |
| 25.66 | 9 |
| 29.46 | 9 |
| 29.62 | 59 |
| 29.92 | 100 |
| 42.56 | 52 |
| 42.67 | 39 |
| 43.04 | 15 |
| 52.75 | 17 |
| 53.23 | 9 |
| 61.48 | 8 |
| 62.18 | 10 |
| 69.97 | 9 |

Cell lengths 7.354, 7.354, 7.338 Å; angles 99.99, 99.99, 119.89 degrees
Sites, in units of the cell vectors:
1 Er 0.067 0.362 0.218
2 Er 0.220 0.220 0.742
3 Er 0.362 0.067 0.218
4 Er 0.638 0.933 0.782
5 Er 0.780 0.780 0.258
6 Er 0.933 0.638 0.782
7 Te 0.188 0.812 0.500
8 Te 0.339 0.661 0.000
9 Te 0.500 0.500 0.500
10 Te 0.661 0.339 0.000
11 Te 0.812 0.188 0.500

---

(4)
The following is a calculated X-ray powder pattern of Er6TlTe5. It was derived from a DFT-relaxed cell (GGA-PBE, Alexandria), using Cu Kα X-rays.
Intensities are scaled so that the largest is 100.

Main lines, sorted by position (10 to 80 degrees two-theta):
| 2theta | I_rel |
| --- | --- |
| 29.09 | 100 |
| 41.55 | 38 |
| 41.66 | 38 |
| 51.43 | 7 |
| 51.61 | 20 |
| 60.30 | 12 |
| 68.22 | 11 |
| 68.34 | 11 |
| 68.42 | 11 |
| 75.74 | 6 |
| 75.94 | 8 |
| 76.03 | 10 |

Cell lengths 7.514, 7.514, 7.511 Å; angles 99.54, 99.54, 119.85 degrees
Sites, in units of the cell vectors:
1 Er 0.079 0.403 0.742
2 Er 0.238 0.238 0.252
3 Er 0.403 0.079 0.742
4 Er 0.597 0.921 0.258
5 Er 0.762 0.762 0.748
6 Er 0.921 0.597 0.258
7 Tl 0.000 0.000 0.500
8 Te 0.172 0.828 0.000
9 Te 0.335 0.665 0.500
10 Te 0.500 0.500 0.000
11 Te 0.665 0.335 0.500
12 Te 0.828 0.172 0.000

---

(5)
The following is a calculated X-ray powder pattern of Er3TlTe2. It was derived from a DFT-relaxed cell (GGA-PBE, Alexandria), using Cu Kα X-rays.
Intensities are scaled so that the largest is 100.

Main lines, sorted by position (10 to 80 degrees two-theta):
| 2theta | I_rel |
| --- | --- |
| 29.09 | 100 |
| 40.38 | 14 |
| 41.59 | 51 |
| 42.84 | 12 |
| 50.51 | 14 |
| 52.60 | 13 |
| 60.33 | 8 |
| 66.59 | 6 |
| 68.30 | 23 |
| 70.11 | 5 |
| 74.25 | 9 |
| 77.62 | 8 |

Cell lengths 4.222, 6.146, 13.403 Å; angles 90.00, 90.00, 90.00 degrees
Sites, in units of the cell vectors:
1 Er 0.000 0.000 0.000
2 Er 0.000 0.000 0.337
3 Er 0.000 0.000 0.663
4 Er 0.500 0.500 0.163
5 Er 0.500 0.500 0.500
6 Er 0.500 0.500 0.837
7 Tl 0.000 0.500 0.000
8 Tl 0.500 0.000 0.500
9 Te 0.000 0.500 0.331
10 Te 0.000 0.500 0.669
11 Te 0.500 0.000 0.169
12 Te 0.500 0.000 0.831

---

(6)
The following is a calculated X-ray powder pattern of ErTm2Tl3Te6. It was derived from a DFT-relaxed cell (GGA-PBE, Alexandria), using Cu Kα X-rays.
Intensities are scaled so that the largest is 100.

Main lines, sorted by position (10 to 80 degrees two-theta):
| 2theta | I_rel |
| --- | --- |
| 24.39 | 5 |
| 27.48 | 100 |
| 37.57 | 38 |
| 40.89 | 36 |
| 44.24 | 6 |
| 49.97 | 19 |
| 56.73 | 12 |
| 61.81 | 14 |
| 65.50 | 4 |
| 66.48 | 17 |
| 72.26 | 11 |
| 74.46 | 6 |

Cell lengths 7.645, 7.645, 8.578 Å; angles 98.54, 98.54, 120.00 degrees
Sites, in units of the cell vectors:
1 Er 0.000 0.000 0.000
2 Tm 0.333 0.667 0.000
3 Tm 0.667 0.333 0.000
4 Tl 0.166 0.834 0.500
5 Tl 0.500 0.500 0.500
6 Tl 0.834 0.166 0.500
7 Te 0.070 0.405 0.211
8 Te 0.264 0.264 0.790
9 Te 0.405 0.070 0.211
10 Te 0.595 0.930 0.789
11 Te 0.736 0.736 0.210
12 Te 0.930 0.595 0.789

---

(7)
The following is a calculated X-ray powder pattern of YEr3Tl3Te8. It was derived from a DFT-relaxed cell (GGA-PBE, Alexandria), using Cu Kα X-rays.
Intensities are scaled so that the largest is 100.

Main lines, sorted by position (10 to 80 degrees two-theta):
| 2theta | I_rel |
| --- | --- |
| 13.74 | 8 |
| 27.69 | 100 |
| 37.74 | 39 |
| 41.31 | 36 |
| 44.27 | 7 |
| 50.46 | 19 |
| 57.18 | 12 |
| 62.11 | 5 |
| 62.17 | 10 |
| 65.66 | 5 |
| 67.19 | 16 |
| 72.93 | 8 |

Cell lengths 8.745, 8.745, 9.621 Å; angles 117.10, 117.10, 59.91 degrees
Sites, in units of the cell vectors:
1 Y 0.000 0.000 0.000
2 Er 0.000 0.500 0.000
3 Er 0.500 0.000 0.000
4 Er 0.500 0.500 0.000
5 Tl 0.000 0.000 0.500
6 Tl 0.000 0.500 0.500
7 Tl 0.500 0.000 0.500
8 Te 0.240 0.240 0.214
9 Te 0.240 0.734 0.214
10 Te 0.262 0.262 0.786
11 Te 0.266 0.760 0.786
12 Te 0.734 0.240 0.214
13 Te 0.738 0.738 0.214
14 Te 0.760 0.266 0.786
15 Te 0.760 0.760 0.786

---

(8)
The following is a calculated X-ray powder pattern of YEr2Tl3Te6. It was derived from a DFT-relaxed cell (GGA-PBE, Alexandria), using Cu Kα X-rays.
Intensities are scaled so that the largest is 100.

Main lines, sorted by position (10 to 80 degrees two-theta):
| 2theta | I_rel |
| --- | --- |
| 27.40 | 100 |
| 29.53 | 6 |
| 37.51 | 38 |
| 40.70 | 36 |
| 44.26 | 7 |
| 49.76 | 19 |
| 53.24 | 5 |
| 56.54 | 12 |
| 61.69 | 14 |
| 66.16 | 17 |
| 71.97 | 11 |
| 74.07 | 6 |

Cell lengths 7.680, 7.680, 8.576 Å; angles 98.58, 98.58, 120.00 degrees
Sites, in units of the cell vectors:
1 Y 0.000 0.000 0.000
2 Er 0.333 0.667 0.000
3 Er 0.667 0.333 0.000
4 Tl 0.166 0.834 0.500
5 Tl 0.500 0.500 0.500
6 Tl 0.834 0.166 0.500
7 Te 0.071 0.406 0.212
8 Te 0.265 0.265 0.788
9 Te 0.406 0.071 0.212
10 Te 0.594 0.929 0.788
11 Te 0.735 0.735 0.212
12 Te 0.929 0.594 0.788

---

(9)
The following is a calculated X-ray powder pattern of Y3ErTl3Te8. It was derived from a DFT-relaxed cell (GGA-PBE, Alexandria), using Cu Kα X-rays.
Intensities are scaled so that the largest is 100.

Main lines, sorted by position (10 to 80 degrees two-theta):
| 2theta | I_rel |
| --- | --- |
| 12.18 | 12 |
| 22.98 | 6 |
| 27.59 | 100 |
| 29.71 | 6 |
| 37.65 | 38 |
| 41.12 | 36 |
| 44.25 | 7 |
| 50.23 | 19 |
| 56.97 | 12 |
| 61.99 | 14 |
| 66.86 | 16 |
| 72.67 | 7 |

Cell lengths 8.785, 8.785, 9.637 Å; angles 117.19, 117.19, 59.91 degrees
Sites, in units of the cell vectors:
1 Y 0.000 0.000 0.000
2 Y 0.000 0.500 0.000
3 Y 0.500 0.000 0.000
4 Er 0.500 0.500 0.000
5 Tl 0.000 0.500 0.500
6 Tl 0.500 0.000 0.500
7 Tl 0.500 0.500 0.500
8 Te 0.239 0.239 0.216
9 Te 0.239 0.738 0.214
10 Te 0.262 0.262 0.786
11 Te 0.262 0.761 0.786
12 Te 0.738 0.239 0.214
13 Te 0.738 0.738 0.214
14 Te 0.761 0.262 0.786
15 Te 0.761 0.761 0.784

---

(10)
The following is a calculated X-ray powder pattern of ErTm2Te3. It was derived from a DFT-relaxed cell (GGA-PBE, Alexandria), using Cu Kα X-rays.
Intensities are scaled so that the largest is 100.

Main lines, sorted by position (10 to 80 degrees two-theta):
| 2theta | I_rel |
| --- | --- |
| 24.88 | 24 |
| 27.49 | 39 |
| 34.24 | 100 |
| 43.44 | 11 |
| 43.81 | 41 |
| 47.32 | 11 |
| 52.50 | 6 |
| 54.19 | 6 |
| 56.75 | 24 |
| 66.45 | 24 |
| 74.34 | 21 |
| 79.48 | 9 |

Cell lengths 8.725, 8.725, 8.725 Å; angles 48.44, 48.44, 48.44 degrees
Sites, in units of the cell vectors:
1 Er 0.000 0.000 0.000
2 Er 0.500 0.500 0.500
3 Tm 0.166 0.166 0.166
4 Tm 0.334 0.334 0.334
5 Tm 0.666 0.666 0.666
6 Tm 0.834 0.834 0.834
7 Te 0.082 0.750 0.418
8 Te 0.250 0.582 0.918
9 Te 0.418 0.082 0.750
10 Te 0.582 0.918 0.250
11 Te 0.750 0.418 0.082
12 Te 0.918 0.250 0.582

---

(11)
The following is a calculated X-ray powder pattern of Er3TmTe4. It was derived from a DFT-relaxed cell (GGA-PBE, Alexandria), using Cu Kα X-rays.
Intensities are scaled so that the largest is 100.

Main lines, sorted by position (10 to 80 degrees two-theta):
| 2theta | I_rel |
| --- | --- |
| 29.22 | 51 |
| 29.32 | 100 |
| 41.54 | 20 |
| 41.88 | 76 |
| 42.36 | 18 |
| 51.59 | 21 |
| 52.29 | 20 |
| 60.83 | 13 |
| 68.73 | 17 |
| 68.89 | 17 |
| 76.07 | 10 |
| 77.15 | 13 |

Cell lengths 7.496, 8.535, 7.505 Å; angles 90.00, 109.15, 90.00 degrees
Sites, in units of the cell vectors:
1 Er 0.000 0.126 0.250
2 Er 0.000 0.874 0.750
3 Er 0.500 0.128 0.750
4 Er 0.500 0.373 0.250
5 Er 0.500 0.627 0.750
6 Er 0.500 0.872 0.250
7 Tm 0.000 0.371 0.750
8 Tm 0.000 0.629 0.250
9 Te 0.248 0.378 0.499
10 Te 0.248 0.622 0.999
11 Te 0.250 0.123 0.000
12 Te 0.250 0.877 0.500
13 Te 0.750 0.123 0.500
14 Te 0.750 0.877 0.000
15 Te 0.752 0.378 0.001
16 Te 0.752 0.622 0.501

---

(12)
The following is a calculated X-ray powder pattern of ErTm4Te5. It was derived from a DFT-relaxed cell (GGA-PBE, Alexandria), using Cu Kα X-rays.
Intensities are scaled so that the largest is 100.

Main lines, sorted by position (10 to 80 degrees two-theta):
| 2theta | I_rel |
| --- | --- |
| 28.49 | 45 |
| 29.72 | 100 |
| 33.26 | 11 |
| 38.03 | 11 |
| 41.64 | 64 |
| 42.54 | 38 |
| 51.99 | 34 |
| 61.72 | 13 |
| 67.41 | 7 |
| 69.35 | 14 |
| 69.99 | 17 |
| 77.23 | 21 |

Cell lengths 15.953, 15.953, 15.953 Å; angles 164.69, 164.69, 21.72 degrees
Sites, in units of the cell vectors:
1 Er 0.000 0.000 0.000
2 Tm 0.211 0.211 0.000
3 Tm 0.407 0.407 0.000
4 Tm 0.593 0.593 0.000
5 Tm 0.789 0.789 0.000
6 Te 0.103 0.103 0.000
7 Te 0.308 0.308 0.000
8 Te 0.500 0.500 0.000
9 Te 0.692 0.692 0.000
10 Te 0.897 0.897 0.000